This entry pairs a crystal structure of NbVPd2 with its simulated X-ray diffraction stick pattern. Radiation: Cu Kα (λ = 1.5418 Å). Structure: a cell relaxed with GGA-PBE.
Peak positions follow from Bragg's law for the DFT cell and can differ from measured ones.

Structural model:
a b c (Å): 3.8845 3.8845 4.0734
angles (deg): 90.00 90.00 90.00
Space group P4/mmm (No. 123)
Unique sites:
Nb (0.0000, 0.0000, 0.0000) [1 per cell]
V (0.5000, 0.5000, 0.0000) [1 per cell]
Pd (0.0000, 0.5000, 0.5000) [2 per cell]

Peak list (10 most intense, 5 to 70 degrees two-theta, most intense first)
| hkl | 2θ/deg | I/Imax |
| --- | --- | --- |
| 1 1 1 | 39.57 | 100 |
| 2 0 0 | 46.77 | 31 |
| 2 0 2 | 66.52 | 21 |
| 0 0 2 | 44.48 | 18 |
| 2 2 0 | 68.30 | 9 |
| 0 0 1 | 21.82 | 4 |
| 1 0 0 | 22.89 | 3 |
| 1 1 0 | 32.60 | 3 |
| 1 0 1 | 31.83 | 3 |
| 2 0 1 | 52.17 | 2 |


This entry pairs a crystal structure of K2Ir3S6 with its simulated X-ray diffraction stick pattern. Radiation: Cu Kα (λ = 1.5418 Å). Structure: a cell relaxed with GGA-PBE.
Peak positions follow from Bragg's law for the DFT cell and can differ from measured ones.

Structural model:
a b c (Å): 6.3450 10.9876 7.3053
angles (deg): 90.00 106.79 90.00
Space group C2/m (No. 12)
Unique sites:
K (0.0000, 0.1668, 0.0000) [4 per cell]
Ir (0.0000, 0.0000, 0.5000) [2 per cell]
Ir (0.0000, 0.3326, 0.5000) [4 per cell]
S (0.2198, 0.5000, 0.6640) [4 per cell]
S (0.2216, 0.1660, 0.6631) [8 per cell]

Peak list (10 most intense, 5 to 70 degrees two-theta, most intense first)
| hkl | 2θ/deg | I/Imax |
| --- | --- | --- |
| 0 0 1 | 12.66 | 100 |
| 1 3 1 | 33.00 | 56 |
| 2 0 -1 | 28.46 | 26 |
| 2 0 0 | 29.42 | 25 |
| 1 3 2 | 41.45 | 21 |
| 0 6 0 | 49.79 | 19 |
| 3 3 0 | 51.59 | 18 |
| 0 0 2 | 25.47 | 17 |
| 2 0 2 | 44.84 | 17 |
| 1 3 3 | 52.28 | 14 |


This entry pairs a crystal structure of ScTi5N6 with its simulated X-ray diffraction stick pattern. Radiation: Cu Kα (λ = 1.5418 Å). Structure: a cell relaxed with GGA-PBE.
Peak positions follow from Bragg's law for the DFT cell and can differ from measured ones.

Structural model:
a b c (Å): 5.2537 9.0968 5.2580
angles (deg): 90.00 109.43 90.00
Space group C2/m (No. 12)
Unique sites:
Sc (0.0000, 0.0000, 0.0000) [2 per cell]
Ti (0.0000, 0.1666, 0.5000) [4 per cell]
Ti (0.0000, 0.3332, 0.0000) [4 per cell]
Ti (0.0000, 0.5000, 0.5000) [2 per cell]
N (0.2452, 0.5000, 0.2521) [4 per cell]
N (0.2459, 0.3307, 0.7447) [8 per cell]

Peak list (3 most intense, 5 to 70 degrees two-theta, most intense first)
| hkl | 2θ/deg | I/Imax |
| --- | --- | --- |
| 1 3 1 | 42.12 | 100 |
| 2 0 0 | 36.26 | 66 |
| 2 0 2 | 61.09 | 56 |


This entry pairs a crystal structure of NaHg5S6 with its simulated X-ray diffraction stick pattern. Radiation: Cu Kα (λ = 1.5418 Å). Structure: a cell relaxed with GGA-PBE.
Peak positions follow from Bragg's law for the DFT cell and can differ from measured ones.

Structural model:
a b c (Å): 7.1532 7.3000 7.3540
angles (deg): 118.52 108.91 90.63
Space group P-1 (No. 2)
Unique sites:
Na (0.0000, 0.0000, 0.0000) [1 per cell]
Hg (0.0217, 0.3134, 0.6729) [2 per cell]
Hg (0.4566, 0.6868, 0.8287) [2 per cell]
Hg (0.5000, 0.0000, 0.5000) [1 per cell]
S (0.2101, 0.7427, 0.1768) [2 per cell]
S (0.2386, 0.3687, 0.5048) [2 per cell]
S (0.2906, 0.0435, 0.8335) [2 per cell]

Peak list (10 most intense, 5 to 70 degrees two-theta, most intense first)
| hkl | 2θ/deg | I/Imax |
| --- | --- | --- |
| 1 -2 1 | 27.89 | 100 |
| -1 1 1 | 24.30 | 57 |
| 2 1 -2 | 30.63 | 52 |
| 0 1 -2 | 25.63 | 47 |
| 1 1 1 | 32.45 | 47 |
| 1 3 -3 | 43.42 | 37 |
| 2 0 0 | 26.89 | 33 |
| 3 0 -3 | 48.69 | 20 |
| 0 3 0 | 43.18 | 20 |
| 1 0 3 | 52.62 | 18 |